No. 1
Starting from a cell relaxed with GGA-PBE, the X-ray diffraction stick pattern of Na5B7C3 was calculated for Cu Kα (weighted mean of Kα1 and Kα2).

Cell and atoms:
abc: 9.0243 9.0243 13.3366
angles: 112.93 112.93 18.17
Positions (direct):
1 Na 0.0000 0.0000 0.0000
2 Na 0.0000 0.0000 0.5000
3 Na 0.1989 0.1989 0.4002
4 Na 0.1990 0.1990 0.9016
5 Na 0.4005 0.4005 0.2990
6 Na 0.4002 0.4002 0.8000
7 Na 0.5998 0.5998 0.2000
8 Na 0.5995 0.5995 0.7010
9 Na 0.8010 0.8010 0.0984
10 Na 0.8011 0.8011 0.5998
11 B 0.0295 0.0295 0.8100
12 B 0.1733 0.1733 0.5973
13 B 0.2335 0.2335 0.2161
14 B 0.3610 0.3610 0.9722
15 B 0.3673 0.3673 0.4836
16 B 0.4309 0.4309 0.1112
17 B 0.4355 0.4355 0.6217
18 B 0.5645 0.5645 0.3783
19 B 0.5691 0.5691 0.8888
20 B 0.6327 0.6327 0.5164
21 B 0.6390 0.6390 0.0278
22 B 0.7665 0.7665 0.7839
23 B 0.8267 0.8267 0.4027
24 B 0.9705 0.9705 0.1900
25 C 0.0336 0.0336 0.3151
26 C 0.1699 0.1699 0.0887
27 C 0.2355 0.2355 0.7214
28 C 0.7645 0.7645 0.2786
29 C 0.8301 0.8301 0.9113
30 C 0.9664 0.9664 0.6849

Peak list (6 most intense, 15° ≤ 2θ ≤ 90°, by intensity)
42.0°, I = 100
42.3°, I = 38
41.1°, I = 25
41.2°, I = 25
63.6°, I = 18
36.1°, I = 18

No. 2
Starting from a cell relaxed with GGA-PBE, the X-ray diffraction stick pattern of Sn8PbAu6 was calculated for Cu Kα (weighted mean of Kα1 and Kα2).

Cell and atoms:
abc: 8.1497 8.1497 6.7375
angles: 90.00 90.00 120.00
Positions (direct):
1 Sn 0.0000 0.3290 0.3292
2 Sn 0.0000 0.6710 0.6708
3 Sn 0.3290 0.0000 0.3292
4 Sn 0.3290 0.3290 0.6708
5 Sn 0.3333 0.6667 0.0000
6 Sn 0.6667 0.3333 0.0000
7 Sn 0.6710 0.0000 0.6708
8 Sn 0.6710 0.6710 0.3292
9 Pb 0.0000 0.0000 0.0000
10 Au 0.0000 0.3411 0.7685
11 Au 0.0000 0.6589 0.2315
12 Au 0.3411 0.0000 0.7685
13 Au 0.3411 0.3411 0.2315
14 Au 0.6589 0.0000 0.2315
15 Au 0.6589 0.6589 0.7685

Peak list (6 most intense, 15° ≤ 2θ ≤ 90°, by intensity)
38.3°, I = 100
34.5°, I = 99
25.5°, I = 53
52.5°, I = 30
66.8°, I = 30
47.1°, I = 24

No. 3
Starting from a cell relaxed with GGA-PBE, the X-ray diffraction stick pattern of Na2DyUS6 was calculated for Cu Kα (weighted mean of Kα1 and Kα2).

Cell and atoms:
abc: 6.9088 7.3397 11.8475
angles: 90.00 124.26 90.00
Positions (direct):
1 Na 0.2170 0.0743 0.2443
2 Na 0.2170 0.4257 0.7443
3 Na 0.7830 0.5743 0.2557
4 Na 0.7830 0.9257 0.7557
5 Dy 0.0000 0.0000 0.5000
6 Dy 0.0000 0.5000 0.0000
7 U 0.5000 0.0000 0.0000
8 U 0.5000 0.5000 0.5000
9 S 0.1491 0.1982 0.9370
10 S 0.1491 0.3018 0.4370
11 S 0.2412 0.7149 0.9310
12 S 0.2412 0.7851 0.4310
13 S 0.3858 0.0370 0.7577
14 S 0.3858 0.4630 0.2577
15 S 0.6142 0.5370 0.7423
16 S 0.6142 0.9630 0.2423
17 S 0.7588 0.2149 0.5690
18 S 0.7588 0.2851 0.0690
19 S 0.8509 0.6982 0.5630
20 S 0.8509 0.8018 0.0630

Peak list (6 most intense, 15° ≤ 2θ ≤ 90°, by intensity)
17.6°, I = 100
18.1°, I = 43
25.2°, I = 42
25.6°, I = 41
35.7°, I = 31
40.7°, I = 26

No. 4
Starting from a cell relaxed with GGA-PBE, the X-ray diffraction stick pattern of Pm4Pr2Dy2Y was calculated for Cu Kα (weighted mean of Kα1 and Kα2).

Cell and atoms:
abc: 8.1415 8.1415 8.1048
angles: 107.58 107.58 36.85
Positions (direct):
1 Pm 0.0558 0.0558 0.3314
2 Pm 0.2783 0.2783 0.6692
3 Pm 0.7217 0.7217 0.3308
4 Pm 0.9442 0.9442 0.6686
5 Pr 0.3881 0.3881 0.3313
6 Pr 0.6119 0.6119 0.6687
7 Dy 0.1667 0.1667 0.0003
8 Dy 0.8333 0.8333 0.9997
9 Y 0.5000 0.5000 0.0000

Peak list (6 most intense, 15° ≤ 2θ ≤ 90°, by intensity)
30.1°, I = 100
34.9°, I = 34
59.6°, I = 29
50.3°, I = 24
35.0°, I = 17
59.8°, I = 14

No. 5
Starting from a cell relaxed with GGA-PBE, the X-ray diffraction stick pattern of ThTlBr5 was calculated for Cu Kα (weighted mean of Kα1 and Kα2).

Cell and atoms:
abc: 8.2714 8.2714 8.2714
angles: 138.64 109.66 85.01
Positions (direct):
1 Th 0.0000 0.0000 0.0000
2 Tl 0.5000 0.5000 0.0000
3 Br 0.0000 0.5000 0.5000
4 Br 0.2287 0.2287 0.0000
5 Br 0.2975 0.0000 0.2975
6 Br 0.7025 0.0000 0.7025
7 Br 0.7713 0.7713 0.0000

Peak list (6 most intense, 15° ≤ 2θ ≤ 90°, by intensity)
17.8°, I = 100
18.6°, I = 62
29.3°, I = 48
32.1°, I = 46
30.6°, I = 46
44.0°, I = 36

No. 6
Starting from a cell relaxed with GGA-PBE, the X-ray diffraction stick pattern of CsLa4Cl12 was calculated for Cu Kα (weighted mean of Kα1 and Kα2).

Cell and atoms:
abc: 9.7059 9.7059 9.7059
angles: 109.78 109.54 109.10
Positions (direct):
1 Cs 0.0000 0.0000 0.0000
2 La 0.0000 0.0000 0.5000
3 La 0.0000 0.5000 0.0000
4 La 0.5000 0.0000 0.0000
5 La 0.5000 0.5000 0.5000
6 Cl 0.0460 0.2536 0.7924
7 Cl 0.2283 0.2352 0.4635
8 Cl 0.2283 0.7648 0.9931
9 Cl 0.2570 0.5361 0.2791
10 Cl 0.2570 0.9780 0.7209
11 Cl 0.4611 0.2536 0.2076
12 Cl 0.5389 0.7464 0.7924
13 Cl 0.7430 0.0220 0.2791
14 Cl 0.7430 0.4639 0.7209
15 Cl 0.7717 0.2352 0.0069
16 Cl 0.7717 0.7648 0.5365
17 Cl 0.9540 0.7464 0.2076

Peak list (6 most intense, 15° ≤ 2θ ≤ 90°, by intensity)
22.4°, I = 100
15.8°, I = 87
32.0°, I = 53
15.9°, I = 43
39.4°, I = 39
45.7°, I = 37

No. 7
Starting from a cell relaxed with GGA-PBE, the X-ray diffraction stick pattern of Cs2HPtCl6 was calculated for Cu Kα (weighted mean of Kα1 and Kα2).

Cell and atoms:
abc: 7.4600 7.4600 7.4600
angles: 60.00 60.00 60.00
Positions (direct):
1 Cs 0.2500 0.2500 0.2500
2 Cs 0.7500 0.7500 0.7500
3 H 0.0000 0.0000 0.0000
4 Pt 0.5000 0.5000 0.5000
5 Cl 0.2765 0.2765 0.7235
6 Cl 0.2765 0.7235 0.2765
7 Cl 0.2765 0.7235 0.7235
8 Cl 0.7235 0.2765 0.2765
9 Cl 0.7235 0.2765 0.7235
10 Cl 0.7235 0.7235 0.2765

Peak list (6 most intense, 15° ≤ 2θ ≤ 90°, by intensity)
23.9°, I = 100
34.0°, I = 58
42.0°, I = 43
48.8°, I = 38
28.1°, I = 28
66.3°, I = 26

No. 8
Starting from a cell relaxed with GGA-PBE, the X-ray diffraction stick pattern of TaNb4W2 was calculated for Cu Kα (weighted mean of Kα1 and Kα2).

Cell and atoms:
abc: 2.7484 5.4223 9.0728
angles: 90.00 90.00 90.00
Positions (direct):
1 Ta 0.0000 0.0000 0.0000
2 Nb 0.2357 0.2584 0.2655
3 Nb 0.2357 0.7416 0.7345
4 Nb 0.7643 0.2584 0.7345
5 Nb 0.7643 0.7416 0.2655
6 W 0.5000 0.0000 0.5000
7 W 0.5000 0.5000 0.0000

Peak list (6 most intense, 15° ≤ 2θ ≤ 90°, by intensity)
38.0°, I = 100
38.7°, I = 91
47.8°, I = 51
39.7°, I = 41
62.3°, I = 23
63.8°, I = 21

No. 9
Starting from a cell relaxed with GGA-PBE, the X-ray diffraction stick pattern of Ca6Te3N2 was calculated for Cu Kα (weighted mean of Kα1 and Kα2).

Cell and atoms:
abc: 8.2480 8.2480 8.2480
angles: 94.36 94.36 94.36
Positions (direct):
1 Ca 0.0180 0.9038 0.7218
2 Ca 0.0962 0.2782 0.9820
3 Ca 0.2218 0.4038 0.5180
4 Ca 0.2782 0.9820 0.0962
5 Ca 0.4038 0.5180 0.2218
6 Ca 0.4820 0.7782 0.5962
7 Ca 0.5180 0.2218 0.4038
8 Ca 0.5962 0.4820 0.7782
9 Ca 0.7218 0.0180 0.9038
10 Ca 0.7782 0.5962 0.4820
11 Ca 0.9038 0.7218 0.0180
12 Ca 0.9820 0.0962 0.2782
13 Te 0.1245 0.7500 0.3755
14 Te 0.2500 0.6245 0.8755
15 Te 0.3755 0.1245 0.7500
16 Te 0.6245 0.8755 0.2500
17 Te 0.7500 0.3755 0.1245
18 Te 0.8755 0.2500 0.6245
19 N 0.0000 0.0000 0.0000
20 N 0.2500 0.2500 0.2500
21 N 0.5000 0.5000 0.5000
22 N 0.7500 0.7500 0.7500

Peak list (6 most intense, 15° ≤ 2θ ≤ 90°, by intensity)
25.1°, I = 100
36.1°, I = 93
31.5°, I = 63
25.5°, I = 45
41.2°, I = 26
46.8°, I = 23